Simulated PXRD pattern
Compound: Zr2TcGeAs
Radiation: copper Kα
Structure: a crystal structure in Alexandria, relaxed with GGA-PBE

Largest 12 diffraction maxima, sorted by position, 2θ = 10–80°:
Position (°2θ)	d_spacing	Rel. int.
17.73	5.003	29
19.67	4.513	8
32.15	2.784	100
35.90	2.502	88
39.95	2.256	32
40.31	2.237	7
51.68	1.769	30
54.79	1.676	51
62.17	1.493	28
67.25	1.392	27
67.68	1.384	11
76.10	1.251	9

Cell and atoms:
a = 5.0032 Å, b = 5.0032 Å, c = 4.5130 Å
α = 90.00°, β = 90.00°, γ = 90.00°
Space group P4/mmm (No. 123)
Inequivalent atoms, fractional coordinates:
Zr: 0.0000 0.5000 0.0000 (multiplicity 2)
Tc: 0.0000 0.0000 0.5000 (multiplicity 1)
Ge: 0.5000 0.5000 0.5000 (multiplicity 1)
As: 0.0000 0.0000 0.0000 (multiplicity 1)